LaTb2ErSc: theoretical XRD peak list (λ = 1.5418 Å (Cu Kα)), based on a cell relaxed with PBE.
Lines closer than 0.1° are merged.

Structural model:
Cell lengths 3.5875, 5.4712, 8.3536 Å; angles 90.00, 90.00, 90.00 degrees
Positions (direct):
La 0.0000 0.0000 0.0000
Tb 0.0000 0.5000 0.3144
Tb 0.0000 0.5000 0.6856
Er 0.5000 0.0000 0.5000
Sc 0.5000 0.5000 0.0000

Most intense lines, 2θ = 10–90°, in order of rising 2θ:
- hkl 0 1 2, 26.9 deg, I 77
- hkl 1 1 0, 29.8 deg, I 23
- hkl 1 1 1, 31.7 deg, I 100
- hkl 0 2 0, 32.7 deg, I 45
- hkl 0 1 3, 36.2 deg, I 21
- hkl 1 0 3, 41.0 deg, I 34
- hkl 1 2 3, 53.5 deg, I 32
- hkl 1 1 5, 63.8 deg, I 24

LaErSe3: theoretical XRD peak list (λ = 1.5418 Å (Cu Kα)), based on a cell relaxed with PBE.
Lines closer than 0.1° are merged.

Structural model:
Cell lengths 7.7955, 4.2038, 16.0772 Å; angles 90.00, 90.00, 90.00 degrees
Positions (direct):
La 0.1401 0.2500 0.1995
La 0.3599 0.7500 0.6995
La 0.6401 0.2500 0.3005
La 0.8599 0.7500 0.8005
Er 0.2273 0.7500 0.4570
Er 0.2727 0.2500 0.9570
Er 0.7273 0.7500 0.0430
Er 0.7727 0.2500 0.5430
Se 0.0107 0.2500 0.3962
Se 0.1251 0.7500 0.0595
Se 0.1530 0.2500 0.7854
Se 0.3470 0.7500 0.2854
Se 0.3749 0.2500 0.5595
Se 0.4893 0.7500 0.8962
Se 0.5107 0.2500 0.1038
Se 0.6251 0.7500 0.4405
Se 0.6530 0.2500 0.7146
Se 0.8470 0.7500 0.2146
Se 0.8749 0.2500 0.9405
Se 0.9893 0.7500 0.6038

Most intense lines, 2θ = 10–90°, in order of rising 2θ:
- hkl 1 1 1, 24.7 deg, I 63
- hkl 1 0 4, 24.9 deg, I 28
- hkl 1 0 5, 30.1 deg, I 31
- hkl 2 1 2, 33.3 deg, I 100
- hkl 0 1 5, 35.1 deg, I 47
- hkl 2 1 3, 35.6 deg, I 37
- hkl 1 1 5, 37.0 deg, I 50
- hkl 0 2 0, 43.0 deg, I 49